The following is a computed powder XRD pattern of Cs2Lu7CCl18. It was derived from a cell relaxed with GGA-PBE, using Cu Ka.
Intensities are scaled so that the largest is 100.

Atomic structure:
abc: 10.7900 10.7900 10.7900
angles: 54.93 54.93 54.93
Sites, in units of the cell vectors:
Cs: 0.2221 0.2221 0.2221
Cs: 0.7779 0.7779 0.7779
Lu: 0.1080 0.8229 0.2237
Lu: 0.1771 0.7763 0.8920
Lu: 0.2237 0.1080 0.8229
Lu: 0.5000 0.5000 0.5000
Lu: 0.7763 0.8920 0.1771
Lu: 0.8229 0.2237 0.1080
Lu: 0.8920 0.1771 0.7763
C: 0.0000 0.0000 0.0000
Cl: 0.0532 0.3433 0.9329
Cl: 0.0671 0.9468 0.6567
Cl: 0.1295 0.2845 0.5785
Cl: 0.2177 0.6436 0.4733
Cl: 0.2845 0.5785 0.1295
Cl: 0.3433 0.9329 0.0532
Cl: 0.3564 0.5267 0.7823
Cl: 0.4215 0.8705 0.7155
Cl: 0.4733 0.2177 0.6436
Cl: 0.5267 0.7823 0.3564
Cl: 0.5785 0.1295 0.2845
Cl: 0.6436 0.4733 0.2177
Cl: 0.6567 0.0671 0.9468
Cl: 0.7155 0.4215 0.8705
Cl: 0.7823 0.3564 0.5267
Cl: 0.8705 0.7155 0.4215
Cl: 0.9329 0.0532 0.3433
Cl: 0.9468 0.6567 0.0671

Principal peaks in the range 2θ from 10° to 90°, low angle first:
Position (°2θ), intensity
10.76, 58
12.13, 91
20.32, 65
24.40, 35
24.99, 48
27.57, 30
31.96, 100
32.67, 32
38.14, 69
48.39, 54